Entry 1:
The following is a simulated powder XRD pattern of BaMg3Bi3. It was derived from a PBE-relaxed structure, using Cu Kα.
Intensities are scaled so that the largest is 100.

Top 12 peaks for 10° ≤ 2θ ≤ 90°, in order of rising 2θ:
- (0 0 6), 4.275 Å, intensity 18.5
- (1 1 0), 4.153 Å, intensity 10.8
- (1 1 3), 3.735 Å, intensity 100.0
- (2 -1 6), 2.979 Å, intensity 38.9
- (3 0 0), 2.398 Å, intensity 38.9
- (2 -1 9), 2.350 Å, intensity 37.6
- (3 0 6), 2.091 Å, intensity 17.1
- (4 -2 3), 2.018 Å, intensity 18.4
- (2 2 9), 1.678 Å, intensity 12.9
- (3 0 12), 1.596 Å, intensity 14.9
- (4 1 3), 1.544 Å, intensity 15.3
- (5 -4 9), 1.375 Å, intensity 12.9

Cell and atoms:
Unit cell a=8.3053 b=8.3053 c=25.6512 alpha=90.00 beta=90.00 gamma=120.00
Space group R-3 (No. 148, hexagonal axes)
Unique sites:
1 Ba 0.0000 0.0000 0.1665
2 Mg 0.0028 0.6550 0.3705
3 Bi 0.0008 0.6823 0.5868


Entry 2:
The following is a simulated powder XRD pattern of Ac8Al2Ge. It was derived from a PBE-relaxed structure, using Cu Kα.
Intensities are scaled so that the largest is 100.

Top 12 peaks for 10° ≤ 2θ ≤ 90°, in order of rising 2θ:
- (3 1 0), 4.246 Å, intensity 35.9
- (3 1 1), 3.455 Å, intensity 100.0
- (6 0 -1), 3.344 Å, intensity 42.9
- (4 0 -2), 3.320 Å, intensity 33.6
- (5 1 0), 3.243 Å, intensity 83.4
- (5 1 -1), 3.187 Å, intensity 68.1
- (1 1 -2), 3.080 Å, intensity 95.7
- (1 1 2), 2.913 Å, intensity 63.1
- (0 2 0), 2.745 Å, intensity 89.6
- (4 0 2), 2.671 Å, intensity 53.0
- (9 1 -3), 1.766 Å, intensity 35.1
- (7 1 3), 1.600 Å, intensity 34.6

Cell and atoms:
Unit cell a=20.637 b=5.490 c=7.451 alpha=90.00 beta=103.09 gamma=90.00
Space group C2/m (No. 12)
Unique sites:
1 Ac 0.024 0.000 0.279
2 Ac 0.093 0.500 0.953
3 Ac 0.157 0.500 0.475
4 Ac 0.212 0.000 0.813
5 Al 0.185 0.000 0.244
6 Ge 0.000 0.500 0.500


What is the formula in the second record? Ac8Al2Ge